Entry 1:
Starting from the GGA+U geometry in Alexandria, the XRD peak list of Cs2HgMoO4 was calculated for CuKα.
Kinematic intensities with the Lorentz-polarization factor, no thermal factor.

Cell lengths 7.854, 7.854, 7.729 Å; angles 90.00, 90.00, 90.00 degrees
Space group I-4 (No. 82)
Symmetry-distinct sites (fractional):
Cs  0.000  0.000  0.000 (multiplicity 2)
Cs  0.000  0.500  0.250 (multiplicity 2)
Hg  0.000  0.500  0.750 (multiplicity 2)
Mo  0.000  0.000  0.500 (multiplicity 2)
O  0.101  0.154  0.361 (multiplicity 8)

Main lines, by angle (2θ = 10–90°):
Position (°2θ), I_rel, index
22.6, 86, 2 0 0
28.1, 100, 1 1 2
32.2, 35, 2 2 0
43.3, 64, 3 1 2
46.2, 11, 4 0 0
52.1, 18, 2 4 0
52.8, 18, 2 0 4
55.0, 15, 3 3 2
58.2, 13, 2 2 4
65.2, 19, 5 1 2
72.8, 14, 4 2 4
74.6, 13, 5 3 2

Entry 2:
Starting from the GGA+U geometry in Alexandria, the XRD peak list of LiUFeO5 was calculated for CuKα.
Kinematic intensities with the Lorentz-polarization factor, no thermal factor.

Cell lengths 6.216, 9.708, 7.883 Å; angles 90.00, 109.94, 90.00 degrees
Space group C2/c (No. 15)
Symmetry-distinct sites (fractional):
Li  0.000  0.051  0.250 (multiplicity 4)
U  0.250  0.250  0.000 (multiplicity 4)
Fe  0.000  0.445  0.250 (multiplicity 4)
O  0.000  0.361  0.750 (multiplicity 4)
O  0.002  0.178  0.057 (multiplicity 8)
O  0.232  0.428  0.157 (multiplicity 8)

Main lines, by angle (2θ = 10–90°):
Position (°2θ), I_rel, index
18.3, 100, 1 1 -1
24.0, 10, 0 0 2
24.2, 56, 1 1 1
30.3, 43, 0 2 2
31.9, 43, 2 0 -2
35.5, 12, 1 1 -3
35.8, 25, 2 2 0
37.0, 15, 0 4 0
44.9, 10, 3 1 -1
49.7, 17, 2 4 -2
52.4, 10, 1 5 1
56.9, 11, 3 3 -3